Structure and calculated powder X-ray diffraction pattern of TbHo2F11 (a cell relaxed with GGA-PBE; Cu Kα).
Lines closer than 0.1° are merged.

Crystal structure
a b c (Å): 8.626 8.626 8.626
angles (deg): 122.26 107.51 99.53
Fractional positions:
Tb 0.250 0.250 0.000
Tb 0.750 0.750 0.000
Ho 0.189 0.659 0.848
Ho 0.311 0.159 0.469
Ho 0.689 0.841 0.531
Ho 0.811 0.341 0.152
F 0.000 0.500 0.500
F 0.029 0.960 0.274
F 0.057 0.341 0.131
F 0.186 0.460 0.931
F 0.195 0.391 0.586
F 0.210 0.926 0.869
F 0.290 0.159 0.716
F 0.305 0.891 0.196
F 0.314 0.245 0.274
F 0.443 0.574 0.284
F 0.471 0.745 0.931
F 0.500 0.000 0.500
F 0.529 0.255 0.069
F 0.557 0.426 0.716
F 0.686 0.755 0.726
F 0.695 0.109 0.804
F 0.710 0.841 0.284
F 0.790 0.074 0.131
F 0.805 0.609 0.414
F 0.814 0.540 0.069
F 0.943 0.659 0.869
F 0.971 0.040 0.726

The 12 most intense peaks (2θ from 10° to 90°), sorted by position:
| 2θ/deg | I_rel |
| --- | --- |
| 13.73 | 24 |
| 15.91 | 28 |
| 21.07 | 100 |
| 21.94 | 47 |
| 23.65 | 86 |
| 24.43 | 71 |
| 26.72 | 27 |
| 33.48 | 25 |
| 43.37 | 31 |
| 44.44 | 26 |
| 45.19 | 54 |
| 47.10 | 42 |